(1)
For La5Mg2In, DFT lattice parameters and positions (GGA-PBE) gives the calculated powder diffraction line list in this record (Cu Kα (weighted mean of Kα1 and Kα2)).

```
La5Mg2In
1.0
8.1716 0.0000 0.0000
0.0000 8.1716 0.0000
0.0000 0.0000 7.7207
La Mg In
10 4 2
Cartesian
0.0000 0.0000 0.0000
2.0438 2.0438 1.9233
2.0420 2.0420 5.7837
2.0438 6.1278 1.9233
2.0420 6.1296 5.7837
4.0858 4.0858 3.8603
6.1278 2.0438 1.9233
6.1296 2.0420 5.7837
6.1278 6.1278 1.9233
6.1296 6.1296 5.7837
0.0000 4.0858 3.8534
0.0000 4.0858 7.7137
4.0858 0.0000 3.8534
4.0858 0.0000 7.7137
0.0000 0.0000 3.8509
4.0858 4.0858 7.7112
```

Largest 10 diffraction maxima, sorted by position, 2θ from 5° to 70°:
15.3 deg, d = 5.778 Å, I 16; 21.8 deg, d = 4.086 Å, I 10; 27.8 deg, d = 3.210 Å, I 8; 31.0 deg, d = 2.889 Å, I 54; 31.9 deg, d = 2.806 Å, I 100; 44.3 deg, d = 2.043 Å, I 20; 47.1 deg, d = 1.930 Å, I 8; 55.7 deg, d = 1.652 Å, I 41; 57.4 deg, d = 1.605 Å, I 19; 66.7 deg, d = 1.403 Å, I 12

(2)
For CaSn3Au, DFT lattice parameters and positions (GGA-PBE) gives the calculated powder diffraction line list in this record (Cu Kα (weighted mean of Kα1 and Kα2)).

```
CaSn3Au
1.0
2.3352 -12.9602 0.0000
2.3352 12.9602 0.0000
0.0000 0.0000 4.5873
Ca Sn Au
2 6 2
Cartesian
2.3352 8.6882 0.0000
2.3352 -8.6882 0.0000
2.3352 11.4919 2.2936
2.3352 5.7082 2.2936
2.3352 1.4619 0.0000
2.3352 -1.4619 0.0000
2.3352 -5.7082 2.2936
2.3352 -11.4919 2.2936
2.3352 3.0713 2.2936
2.3352 -3.0713 2.2936
```

Largest 10 diffraction maxima, sorted by position, 2θ from 5° to 70°:
6.8 deg, d = 12.960 Å, I 22; 19.3 deg, d = 4.591 Å, I 65; 20.6 deg, d = 4.321 Å, I 22; 21.6 deg, d = 4.109 Å, I 17; 29.2 deg, d = 3.060 Å, I 100; 36.7 deg, d = 2.452 Å, I 44; 38.6 deg, d = 2.335 Å, I 37; 39.3 deg, d = 2.294 Å, I 36; 41.8 deg, d = 2.162 Å, I 91; 56.2 deg, d = 1.636 Å, I 25